# 1
Sr2Tl2Ga: theoretical powder diffractogram (λ = 1.5418 Å (Cu Kα)), based on a GGA-PBE-relaxed structure.
Lines closer than 0.1° are merged.

Crystal structure
```
data_Sr2Tl2Ga
_space_group_name_H-M_alt 'P 1'
_space_group_IT_number 1
_cell_length_a 6.5266
_cell_length_b 6.5266
_cell_length_c 12.2142
_cell_angle_alpha 114.55
_cell_angle_beta 114.55
_cell_angle_gamma 43.06
loop_
_space_group_symop_operation_xyz
'x,y,z'
loop_
_atom_site_label
_atom_site_type_symbol
_atom_site_fract_x
_atom_site_fract_y
_atom_site_fract_z
Sr1 Sr 0.0038 0.0038 0.3345
Sr2 Sr 0.1853 0.1853 0.1138
Sr3 Sr 0.8147 0.8147 0.8862
Sr4 Sr 0.9962 0.9962 0.6655
Tl1 Tl 0.3426 0.3426 0.4474
Tl2 Tl 0.4689 0.4689 0.1154
Tl3 Tl 0.5311 0.5311 0.8846
Tl4 Tl 0.6574 0.6574 0.5526
Ga1 Ga 0.2907 0.2907 0.6691
Ga2 Ga 0.7093 0.7093 0.3309
```

Principal peaks in the range 2θ from 5° to 70°, in order of rising 2θ:
2theta	I/Imax
20.3	43.2
28.3	22.5
28.9	100.0
29.0	48.8
29.5	39.7
32.0	24.9
34.6	32.9
34.8	88.9
37.5	60.9
56.4	27.1

***

# 2
Ba2U3S10: theoretical powder diffractogram (λ = 1.5418 Å (Cu Kα)), based on a GGA-PBE-relaxed structure.
Lines closer than 0.1° are merged.

Crystal structure
```
data_Ba2U3S10
_space_group_name_H-M_alt 'P 1'
_space_group_IT_number 1
_cell_length_a 12.4267
_cell_length_b 12.4267
_cell_length_c 9.9590
_cell_angle_alpha 110.38
_cell_angle_beta 110.38
_cell_angle_gamma 35.56
loop_
_space_group_symop_operation_xyz
'x,y,z'
loop_
_atom_site_label
_atom_site_type_symbol
_atom_site_fract_x
_atom_site_fract_y
_atom_site_fract_z
Ba1 Ba 0.1237 0.1237 0.2376
Ba2 Ba 0.2242 0.2242 0.8351
Ba3 Ba 0.7758 0.7758 0.1649
Ba4 Ba 0.8763 0.8763 0.7624
U1 U 0.2455 0.7545 0.5000
U2 U 0.3199 0.3199 0.4668
U3 U 0.4196 0.4196 0.0205
U4 U 0.5804 0.5804 0.9795
U5 U 0.6801 0.6801 0.5332
U6 U 0.7545 0.2455 0.5000
S1 S 0.0000 0.5000 0.5000
S2 S 0.0106 0.0106 0.6870
S3 S 0.1076 0.5887 0.0139
S4 S 0.1111 0.6561 0.4451
S5 S 0.2629 0.2629 0.2069
S6 S 0.2737 0.7263 0.0000
S7 S 0.3439 0.8889 0.5549
S8 S 0.3714 0.3714 0.7407
S9 S 0.4113 0.8924 0.9861
S10 S 0.4848 0.4848 0.3098
S11 S 0.5000 0.0000 0.5000
S12 S 0.5152 0.5152 0.6902
S13 S 0.5887 0.1076 0.0139
S14 S 0.6286 0.6286 0.2593
S15 S 0.6561 0.1111 0.4451
S16 S 0.7263 0.2737 0.0000
S17 S 0.7371 0.7371 0.7931
S18 S 0.8889 0.3439 0.5549
S19 S 0.8924 0.4113 0.9861
S20 S 0.9894 0.9894 0.3130
```

Principal peaks in the range 2θ from 5° to 70°, in order of rising 2θ:
2theta	I/Imax
12.3	33.2
19.1	45.7
21.5	100.0
21.9	49.5
22.6	82.0
28.0	33.4
32.8	67.0
40.7	38.8
43.5	34.4
50.4	34.6